(1)
This entry pairs a crystal structure of LaPuIr2 with its simulated powder diffractogram. Radiation: copper Kα. Structure: DFT lattice parameters and positions (GGA-PBE).
Peak positions follow from Bragg's law for the DFT cell and can differ from measured ones.

Cell and atoms:
Cell lengths 5.7391, 5.7411, 12.5327 Å; angles 90.00, 112.87, 90.00 degrees
Sites, in units of the cell vectors:
La  0.1258  0.2284  0.1241
La  0.1258  0.7716  0.6241
La  0.8742  0.2284  0.3759
La  0.8742  0.7716  0.8759
Pu  0.4164  0.3040  0.8757
Pu  0.4164  0.6960  0.3757
Pu  0.5836  0.3040  0.6243
Pu  0.5836  0.6960  0.1243
Ir  0.1024  0.2749  0.6541
Ir  0.1024  0.7251  0.1541
Ir  0.3972  0.1876  0.4014
Ir  0.3972  0.8124  0.9014
Ir  0.6028  0.1876  0.0986
Ir  0.6028  0.8124  0.5986
Ir  0.8976  0.2749  0.8459
Ir  0.8976  0.7251  0.3459

Top 6 peaks for 2θ from 15° to 90°, most intense first:
31.26 deg, intensity 100; 30.98 deg, intensity 97; 31.16 deg, intensity 86; 44.72 deg, intensity 53; 44.51 deg, intensity 51; 42.80 deg, intensity 43

---

(2)
This entry pairs a crystal structure of Pm2ScSb3Ir4 with its simulated powder diffractogram. Radiation: copper Kα. Structure: DFT lattice parameters and positions (GGA-PBE).
Peak positions follow from Bragg's law for the DFT cell and can differ from measured ones.

Cell and atoms:
Cell lengths 4.3013, 4.3013, 11.5338 Å; angles 90.00, 90.00, 90.00 degrees
Sites, in units of the cell vectors:
Pm  0.0000  0.5000  0.2379
Pm  0.5000  0.0000  0.7621
Sc  0.0000  0.0000  0.5000
Sb  0.0000  0.5000  0.8650
Sb  0.5000  0.0000  0.1349
Sb  0.5000  0.5000  0.5000
Ir  0.0000  0.0000  0.0000
Ir  0.0000  0.5000  0.6413
Ir  0.5000  0.0000  0.3587
Ir  0.5000  0.5000  0.0000

Top 6 peaks for 2θ from 15° to 90°, most intense first:
33.30 deg, intensity 100; 42.01 deg, intensity 63; 31.20 deg, intensity 48; 43.24 deg, intensity 39; 44.57 deg, intensity 37; 62.91 deg, intensity 26